For GeP2RhCl, a structure optimized by DFT (GGA-PBE) gives the calculated PXRD pattern in this record (copper Kα).

Most intense lines, 2θ = 5–70°, by angle:
2θ (°)  I/Imax
17.11  12
19.62  24
26.14  100
27.89  49
32.90  12
34.61  44
39.85  59
45.02  26
48.29  39
53.79  47
57.63  19
68.99  22

Structural model:
abc: 4.5243 4.5243 5.1835
angles: 90.00 90.00 90.00
Space group P4/mmm (No. 123)
Symmetry-distinct sites (fractional):
Ge: 0.0000 0.0000 0.0000 (multiplicity 1)
P: 0.0000 0.5000 0.5000 (multiplicity 2)
Rh: 0.5000 0.5000 0.5000 (multiplicity 1)
Cl: 0.5000 0.5000 0.0000 (multiplicity 1)

---

For Ba3SrTl2Cu2HgO10, a structure optimized by DFT (GGA-PBE) gives the calculated PXRD pattern in this record (copper Kα).

Most intense lines, 2θ = 5–70°, by angle:
2θ (°)  I/Imax
25.11  34
29.02  9
29.59  100
32.54  61
37.59  11
44.16  16
46.68  26
50.55  14
53.74  9
54.36  11
56.25  34
61.42  10

Structural model:
abc: 3.8914 3.8914 43.0752
angles: 90.00 90.00 90.00
Space group I4mm (No. 107)
Symmetry-distinct sites (fractional):
Ba: 0.0000 0.0000 0.0000 (multiplicity 2)
Ba: 0.0000 0.0000 0.0905 (multiplicity 2)
Ba: 0.0000 0.0000 0.2303 (multiplicity 2)
Sr: 0.0000 0.0000 0.3157 (multiplicity 2)
Tl: 0.0000 0.0000 0.4328 (multiplicity 2)
Tl: 0.0000 0.0000 0.8799 (multiplicity 2)
Cu: 0.0000 0.0000 0.5452 (multiplicity 2)
Cu: 0.0000 0.0000 0.7774 (multiplicity 2)
Hg: 0.0000 0.0000 0.6605 (multiplicity 2)
O: 0.0000 0.0000 0.3843 (multiplicity 2)
O: 0.0000 0.0000 0.4801 (multiplicity 2)
O: 0.0000 0.0000 0.6138 (multiplicity 2)
O: 0.0000 0.0000 0.7072 (multiplicity 2)
O: 0.0000 0.0000 0.8324 (multiplicity 2)
O: 0.0000 0.0000 0.9285 (multiplicity 2)
O: 0.0000 0.5000 0.0458 (multiplicity 4)
O: 0.0000 0.5000 0.2756 (multiplicity 4)

---

For Ac8CuPd2, a structure optimized by DFT (GGA-PBE) gives the calculated PXRD pattern in this record (copper Kα).

Most intense lines, 2θ = 5–70°, by angle:
2θ (°)  I/Imax
23.63  28
25.70  68
27.99  67
28.35  80
28.54  100
29.26  50
30.38  67
31.93  24
32.94  34
38.93  42
49.39  21
53.07  21

Structural model:
abc: 6.9869 7.5968 8.9253
angles: 109.38 108.35 96.83
Space group P1 (No. 1)
Symmetry-distinct sites (fractional):
Ac: 0.0000 0.0000 0.0000 (multiplicity 1)
Ac: 0.0155 0.5083 0.2803 (multiplicity 1)
Ac: 0.2104 0.0873 0.5178 (multiplicity 1)
Ac: 0.3044 0.7078 0.7557 (multiplicity 1)
Ac: 0.4140 0.4258 0.0442 (multiplicity 1)
Ac: 0.6183 0.0571 0.2340 (multiplicity 1)
Ac: 0.6652 0.7790 0.5265 (multiplicity 1)
Ac: 0.8009 0.4003 0.7575 (multiplicity 1)
Cu: 0.2248 0.7478 0.1333 (multiplicity 1)
Pd: 0.4121 0.3668 0.3922 (multiplicity 1)
Pd: 0.5949 0.1094 0.8769 (multiplicity 1)

---

For Pr2Nd2Zn3, a structure optimized by DFT (GGA-PBE) gives the calculated PXRD pattern in this record (copper Kα).

Most intense lines, 2θ = 5–70°, by angle:
2θ (°)  I/Imax
24.36  50
31.93  4
34.56  100
34.87  96
42.73  11
43.26  4
49.91  34
56.08  11
56.51  10
61.93  18
62.13  35
62.73  16

Structural model:
abc: 5.1905 5.1905 25.0987
angles: 90.00 90.00 120.00
Space group R-3m (No. 166, hexagonal axes)
Symmetry-distinct sites (fractional):
Pr: 0.0000 0.0000 0.1272 (multiplicity 6)
Nd: 0.0000 0.0000 0.3785 (multiplicity 6)
Zn: 0.0000 0.0000 0.0000 (multiplicity 3)
Zn: 0.0000 0.0000 0.2532 (multiplicity 6)

---

For Pu3Ga6Rh5, a structure optimized by DFT (GGA-PBE) gives the calculated PXRD pattern in this record (copper Kα).

Most intense lines, 2θ = 5–70°, by angle:
2θ (°)  I/Imax
23.26  12
30.00  27
34.04  15
35.66  100
35.77  33
36.77  16
38.56  13
41.55  10
42.68  15
43.23  31
57.20  12
58.77  9

Structural model:
abc: 4.1860 12.7136 9.4104
angles: 90.00 90.00 90.00
Space group Pmmn (No. 59, origin choice 2)
Symmetry-distinct sites (fractional):
Pu: 0.2500 0.0528 0.2479 (multiplicity 4)
Pu: 0.2500 0.7500 0.2697 (multiplicity 2)
Ga: 0.2500 0.0690 0.5857 (multiplicity 4)
Ga: 0.2500 0.2500 0.0335 (multiplicity 2)
Ga: 0.2500 0.2500 0.4153 (multiplicity 2)
Ga: 0.2500 0.5984 0.9826 (multiplicity 4)
Rh: 0.2500 0.0916 0.8599 (multiplicity 4)
Rh: 0.2500 0.6366 0.5425 (multiplicity 4)
Rh: 0.2500 0.7500 0.7962 (multiplicity 2)